# 1
Theoretical PXRD pattern
Compound: LiVGaO4
Radiation: CuKα
Structure: a DFT-relaxed cell (GGA+U, the Materials Project)
Peak positions follow from Bragg's law for the DFT cell and can differ from measured ones.

Most intense lines, 2θ = 10–90°, sorted by position:
2θ/deg  d_spacing  intensity
18.3  4.859  100
35.3  2.545  17
35.4  2.533  32
37.0  2.431  7
37.0  2.427  7
42.8  2.113  18
43.1  2.099  36
47.1  1.930  7
56.9  1.617  9
62.3  1.490  11
62.4  1.487  17
78.9  1.214  7

abc: 10.321 5.931 5.945
angles: 90.00 125.03 90.00
Space group C2/m (No. 12)
Asymmetric unit:
Li 0.130 0.000 0.383
V 0.000 0.500 0.000
V 0.000 0.500 0.500
Ga 0.250 0.250 0.000
O 0.007 0.279 0.762
O 0.227 0.500 0.746
O 0.237 0.500 0.205

# 2
Theoretical PXRD pattern
Compound: Li2VGa3O8
Radiation: CuKα
Structure: a DFT-relaxed cell (GGA+U, the Materials Project)
Peak positions follow from Bragg's law for the DFT cell and can differ from measured ones.

Most intense lines, 2θ = 10–90°, sorted by position:
2θ/deg  d_spacing  intensity
20.9  4.249  83
21.0  4.222  79
21.6  4.116  100
21.8  4.083  95
27.2  3.281  39
31.4  2.850  40
31.6  2.834  26
32.6  2.750  37
34.4  2.605  63
36.0  2.494  35
36.2  2.484  25
57.3  1.609  24

abc: 5.211 5.501 6.640
angles: 89.62 89.53 89.80
Space group P1 (No. 1)
Asymmetric unit:
Li 0.000 0.000 0.000
Li 0.485 0.673 0.499
V 0.492 0.653 0.998
Ga 0.005 0.483 0.734
Ga 0.475 0.143 0.263
Ga 0.986 0.989 0.501
O 0.058 0.160 0.739
O 0.116 0.674 0.529
O 0.128 0.107 0.260
O 0.162 0.649 0.960
O 0.562 0.472 0.211
O 0.603 0.947 0.040
O 0.633 0.992 0.471
O 0.645 0.547 0.780

# 3
Theoretical PXRD pattern
Compound: LiVGaO4
Radiation: CuKα
Structure: a DFT-relaxed cell (GGA+U, the Materials Project)
Peak positions follow from Bragg's law for the DFT cell and can differ from measured ones.

Most intense lines, 2θ = 10–90°, sorted by position:
2θ/deg  d_spacing  intensity
18.3  4.858  100
34.8  2.576  18
35.4  2.532  16
35.8  2.505  16
37.0  2.429  13
42.0  2.149  20
43.1  2.098  18
43.8  2.067  17
55.7  1.650  7
57.0  1.615  6
61.8  1.501  12
62.3  1.490  11

abc: 8.268 8.597 5.884
angles: 90.00 134.51 90.00
Space group C2/c (No. 15)
Asymmetric unit:
Li 0.000 0.134 0.250
V 0.000 0.500 0.000
Ga 0.250 0.250 0.000
O 0.008 0.268 0.533
O 0.221 0.494 0.979

# 4
Theoretical PXRD pattern
Compound: Li2VGa3O8
Radiation: CuKα
Structure: a DFT-relaxed cell (GGA+U, the Materials Project)
Peak positions follow from Bragg's law for the DFT cell and can differ from measured ones.

Most intense lines, 2θ = 10–90°, sorted by position:
2θ/deg  d_spacing  intensity
21.0  4.229  100
21.6  4.117  61
21.7  4.093  60
27.3  3.272  14
31.3  2.855  38
32.9  2.724  26
34.6  2.595  39
35.8  2.509  26
36.0  2.497  27
37.3  2.412  20
54.7  1.677  17
57.7  1.599  14

abc: 5.190 5.448 6.708
angles: 89.86 89.65 89.97
Space group P1 (No. 1)
Asymmetric unit:
Li 0.000 0.000 0.000
Li 0.487 0.653 0.516
V 0.993 0.497 0.255
Ga 0.010 0.995 0.520
Ga 0.481 0.658 0.986
Ga 0.495 0.144 0.756
O 0.326 0.539 0.232
O 0.358 0.986 0.534
O 0.372 0.974 0.980
O 0.422 0.475 0.765
O 0.844 0.629 0.049
O 0.848 0.085 0.748
O 0.884 0.668 0.457
O 0.922 0.184 0.284

# 5
Theoretical PXRD pattern
Compound: LiGaW2O8
Radiation: CuKα
Structure: a DFT-relaxed cell (GGA+U, the Materials Project)
Peak positions follow from Bragg's law for the DFT cell and can differ from measured ones.

Most intense lines, 2θ = 10–90°, sorted by position:
2θ/deg  d_spacing  intensity
15.4  5.738  24
18.8  4.729  91
23.6  3.774  87
24.4  3.649  54
30.1  2.970  100
30.5  2.930  97
35.8  2.506  29
36.1  2.490  36
41.1  2.195  34
51.5  1.773  29
53.7  1.706  39
64.6  1.443  30

abc: 9.460 5.738 5.012
angles: 90.00 91.06 90.00
Space group P2/c (No. 13)
Asymmetric unit:
Li 0.000 0.153 0.250
Ga 0.500 0.162 0.250
W 0.251 0.323 0.740
O 0.128 0.122 0.603
O 0.154 0.399 0.059
O 0.370 0.379 0.422
O 0.387 0.120 0.910

# 6
Theoretical PXRD pattern
Compound: MgGa4W2O12
Radiation: CuKα
Structure: a DFT-relaxed cell (GGA+U, the Materials Project)
Peak positions follow from Bragg's law for the DFT cell and can differ from measured ones.

Most intense lines, 2θ = 10–90°, sorted by position:
2θ/deg  d_spacing  intensity
19.1  4.638  20
20.1  4.428  57
21.3  4.179  79
23.3  3.810  29
28.3  3.159  67
34.0  2.635  100
35.6  2.520  22
40.4  2.234  20
46.2  1.967  20
53.5  1.714  23
53.8  1.704  42
58.4  1.579  18

abc: 9.275 6.318 8.357
angles: 90.00 90.00 90.00
Space group Amm2 (No. 38)
Asymmetric unit:
Mg 0.000 0.000 0.000
Ga 0.177 0.000 0.280
Ga 0.336 0.000 0.779
W 0.000 0.000 0.656
W 0.500 0.000 0.266
O 0.000 0.187 0.188
O 0.146 0.000 0.842
O 0.152 0.000 0.496
O 0.330 0.199 0.218
O 0.500 0.000 0.476
O 0.500 0.000 0.901

# 7
Theoretical PXRD pattern
Compound: MgGa4W2O12
Radiation: CuKα
Structure: a DFT-relaxed cell (GGA+U, the Materials Project)
Peak positions follow from Bragg's law for the DFT cell and can differ from measured ones.

Most intense lines, 2θ = 10–90°, sorted by position:
2θ/deg  d_spacing  intensity
19.6  4.521  17
20.0  4.437  59
22.4  3.975  91
26.9  3.316  83
34.6  2.594  100
35.2  2.546  30
37.4  2.402  19
46.7  1.944  19
47.7  1.906  33
52.6  1.739  45
55.4  1.659  25
62.8  1.479  20

abc: 9.041 6.632 7.950
angles: 90.00 90.00 90.00
Space group Amm2 (No. 38)
Asymmetric unit:
Mg 0.000 0.000 0.000
Ga 0.176 0.000 0.720
Ga 0.333 0.000 0.286
W 0.000 0.000 0.335
W 0.500 0.000 0.753
O 0.000 0.182 0.803
O 0.161 0.000 0.155
O 0.183 0.000 0.488
O 0.338 0.187 0.799
O 0.500 0.000 0.158
O 0.500 0.000 0.529

# 8
Theoretical PXRD pattern
Compound: MgGa4W2O12
Radiation: CuKα
Structure: a DFT-relaxed cell (GGA+U, the Materials Project)
Peak positions follow from Bragg's law for the DFT cell and can differ from measured ones.

Most intense lines, 2θ = 10–90°, sorted by position:
2θ/deg  d_spacing  intensity
19.3  4.591  13
21.0  4.226  46
26.3  3.391  64
26.7  3.339  61
34.9  2.574  100
37.7  2.385  15
37.9  2.374  18
52.1  1.756  25
52.2  1.753  20
52.5  1.742  25
52.7  1.738  19
66.5  1.406  15

abc: 4.748 9.182 4.771
angles: 90.00 90.89 90.00
Space group P2 (No. 3)
Asymmetric unit:
Mg 0.000 0.000 0.000
Ga 0.000 0.032 0.500
Ga 0.000 0.366 0.500
Ga 0.500 0.531 0.000
Ga 0.500 0.849 0.000
W 0.000 0.690 0.500
W 0.500 0.203 0.000
O 0.172 0.866 0.280
O 0.176 0.184 0.268
O 0.186 0.528 0.299
O 0.310 0.696 0.788
O 0.317 0.362 0.792
O 0.328 0.027 0.784

# 9
Theoretical PXRD pattern
Compound: MgGa4W2O12
Radiation: CuKα
Structure: a DFT-relaxed cell (GGA+U, the Materials Project)
Peak positions follow from Bragg's law for the DFT cell and can differ from measured ones.

Most intense lines, 2θ = 10–90°, sorted by position:
2θ/deg  d_spacing  intensity
21.0  4.231  35
26.5  3.365  100
32.9  2.720  18
34.7  2.586  79
37.8  2.380  26
43.6  2.074  11
52.2  1.751  69
54.5  1.683  20
61.6  1.505  15
66.3  1.410  21
66.8  1.401  15
78.9  1.213  13

abc: 4.759 4.759 9.243
angles: 90.00 90.00 90.00
Space group P-4 (No. 81)
Asymmetric unit:
Mg 0.000 0.000 0.000
Ga 0.000 0.500 0.582
Ga 0.000 0.500 0.902
W 0.000 0.500 0.258
O 0.196 0.307 0.418
O 0.197 0.292 0.753
O 0.197 0.307 0.082